Structure and simulated powder XRD pattern of Ce7InGa2 (a PBE-relaxed structure; a wavelength of 1.5418 Å).
Peak positions follow from Bragg's law for the DFT cell and can differ from measured ones.

Lattice parameters (Å, degrees): 8.379 8.379 5.367 90.00 90.00 120.69
Positions (direct):
1 Ce 0.000 0.000 0.000
2 Ce 0.220 0.451 0.000
3 Ce 0.265 0.735 0.500
4 Ce 0.451 0.220 0.000
5 Ce 0.549 0.780 0.000
6 Ce 0.735 0.265 0.500
7 Ce 0.780 0.549 0.000
8 In 0.500 0.500 0.500
9 Ga 0.197 0.803 0.000
10 Ga 0.803 0.197 0.000

Main lines, low angle first (10° ≤ 2θ ≤ 90°):
2θ (°), I (rel.)
16.52, 60
29.65, 79
32.74, 72
33.39, 81
36.74, 100
37.11, 89

Structure and simulated powder XRD pattern of SrLaTl4 (a PBE-relaxed structure; a wavelength of 1.5418 Å).
Peak positions follow from Bragg's law for the DFT cell and can differ from measured ones.

Lattice parameters (Å, degrees): 5.161 5.161 8.392 90.06 90.06 59.92
Positions (direct):
1 Sr 0.000 0.000 0.000
2 La 0.000 0.000 0.500
3 Tl 0.333 0.333 0.676
4 Tl 0.334 0.334 0.214
5 Tl 0.666 0.666 0.786
6 Tl 0.667 0.667 0.324

Main lines, low angle first (10° ≤ 2θ ≤ 90°):
2θ (°), I (rel.)
29.20, 100
34.78, 72
46.03, 29
47.90, 22
58.96, 28
62.35, 14

Structure and simulated powder XRD pattern of Na2CaNb4Bi2O15 (a PBE-relaxed structure; a wavelength of 1.5418 Å).
Peak positions follow from Bragg's law for the DFT cell and can differ from measured ones.

Lattice parameters (Å, degrees): 20.927 20.927 5.622 90.00 90.00 15.20
Positions (direct):
1 Na 0.143 0.652 0.500
2 Na 0.348 0.857 0.500
3 Na 0.652 0.143 0.000
4 Na 0.857 0.348 0.000
5 Ca 0.246 0.754 0.499
6 Ca 0.754 0.246 0.999
7 Nb 0.106 0.599 0.011
8 Nb 0.205 0.695 0.032
9 Nb 0.305 0.795 0.032
10 Nb 0.401 0.894 0.011
11 Nb 0.599 0.106 0.511
12 Nb 0.695 0.205 0.532
13 Nb 0.795 0.305 0.532
14 Nb 0.894 0.401 0.511
15 Bi 0.060 0.502 0.424
16 Bi 0.498 0.940 0.424
17 Bi 0.502 0.060 0.924
18 Bi 0.940 0.498 0.924
19 O 0.007 0.918 0.771
20 O 0.082 0.993 0.771
21 O 0.086 0.726 0.048
22 O 0.120 0.179 0.813
23 O 0.138 0.478 0.034
24 O 0.179 0.120 0.313
25 O 0.236 0.263 0.704
26 O 0.263 0.236 0.204
27 O 0.274 0.914 0.048
28 O 0.334 0.666 0.086
29 O 0.342 0.388 0.766
30 O 0.388 0.342 0.266
31 O 0.389 0.505 0.366
32 O 0.478 0.138 0.534
33 O 0.495 0.611 0.366
34 O 0.505 0.389 0.866
35 O 0.522 0.862 0.034
36 O 0.611 0.495 0.866
37 O 0.612 0.658 0.766
38 O 0.658 0.612 0.266
39 O 0.666 0.334 0.586
40 O 0.726 0.086 0.548
41 O 0.737 0.764 0.704
42 O 0.764 0.737 0.204
43 O 0.821 0.880 0.813
44 O 0.862 0.522 0.534
45 O 0.880 0.821 0.313
46 O 0.914 0.274 0.548
47 O 0.918 0.007 0.271
48 O 0.993 0.082 0.271

Main lines, low angle first (10° ≤ 2θ ≤ 90°):
2θ (°), I (rel.)
25.00, 35
27.16, 49
29.81, 100
31.83, 21
32.35, 24
46.03, 22

Structure and simulated powder XRD pattern of V6GaRu (a PBE-relaxed structure; a wavelength of 1.5418 Å).
Peak positions follow from Bragg's law for the DFT cell and can differ from measured ones.

Lattice parameters (Å, degrees): 4.234 5.206 5.206 70.54 90.00 90.00
Positions (direct):
1 V 0.000 0.000 0.000
2 V 0.000 0.510 0.983
3 V 0.000 0.983 0.510
4 V 0.500 0.238 0.747
5 V 0.500 0.745 0.745
6 V 0.500 0.747 0.238
7 Ga 0.500 0.242 0.242
8 Ru 0.000 0.489 0.489

Main lines, low angle first (10° ≤ 2θ ≤ 90°):
2θ (°), I (rel.)
42.57, 100
42.71, 20
61.71, 6
61.86, 12
77.86, 17
78.11, 12

Structure and simulated powder XRD pattern of Pa8CoRu5 (a PBE-relaxed structure; a wavelength of 1.5418 Å).
Peak positions follow from Bragg's law for the DFT cell and can differ from measured ones.

Lattice parameters (Å, degrees): 7.322 7.322 7.322 109.49 109.49 109.43
Positions (direct):
1 Pa 0.269 0.512 0.644
2 Pa 0.376 0.731 0.243
3 Pa 0.378 0.239 0.249
4 Pa 0.488 0.133 0.757
5 Pa 0.761 0.010 0.139
6 Pa 0.867 0.624 0.356
7 Pa 0.872 0.622 0.861
8 Pa 0.990 0.128 0.751
9 Co 0.500 0.500 0.000
10 Ru 0.002 0.376 0.128
11 Ru 0.126 0.998 0.374
12 Ru 0.248 0.874 0.872
13 Ru 0.624 0.752 0.626
14 Ru 0.750 0.250 0.500

Main lines, low angle first (10° ≤ 2θ ≤ 90°):
2θ (°), I (rel.)
29.89, 37
33.52, 100
39.90, 48
55.41, 42
68.40, 18
84.14, 18

Structure and simulated powder XRD pattern of Sm3Er2Mg3 (a PBE-relaxed structure; a wavelength of 1.5418 Å).
Peak positions follow from Bragg's law for the DFT cell and can differ from measured ones.

Lattice parameters (Å, degrees): 11.721 11.721 11.721 161.49 152.90 33.02
Positions (direct):
1 Sm 0.000 0.000 0.000
2 Sm 0.374 0.874 0.500
3 Sm 0.626 0.126 0.500
4 Er 0.236 0.236 0.000
5 Er 0.764 0.764 0.000
6 Mg 0.119 0.619 0.500
7 Mg 0.500 0.500 0.000
8 Mg 0.881 0.381 0.500

Main lines, low angle first (10° ≤ 2θ ≤ 90°):
2θ (°), I (rel.)
23.93, 17
25.61, 25
31.85, 23
32.60, 27
32.93, 100
58.39, 19